Theoretical X-ray powder pattern of La3SmGe2N for CuKα, from a DFT-relaxed cell (PBE, Alexandria).
Lines closer than 0.1° are merged.

Cell and atoms:
a = 8.7396 Å, b = 8.7396 Å, c = 8.7396 Å
α = 147.90°, β = 147.63°, γ = 46.23°
Positions (direct):
La  0.0000  0.0000  0.0000
La  0.3291  0.8291  0.5000
La  0.6709  0.1709  0.5000
Sm  0.5000  0.5000  0.0000
Ge  0.1354  0.6354  0.5000
Ge  0.8646  0.3646  0.5000
N  0.5000  0.0000  0.5000

The 6 most intense peaks (2θ = 5–70°), by intensity:
Position (°2θ)	I_rel
28.28	100
34.37	86
33.44	53
36.90	33
37.21	33
50.87	26

Theoretical X-ray powder pattern of Y10Ga3Co7 for CuKα, from a DFT-relaxed cell (PBE, Alexandria).
Lines closer than 0.1° are merged.

Cell and atoms:
a = 3.9049 Å, b = 9.5778 Å, c = 23.0901 Å
α = 90.00°, β = 90.00°, γ = 90.00°
Positions (direct):
Y  0.0000  0.0000  0.0000
Y  0.0000  0.0000  0.5000
Y  0.0000  0.1639  0.1408
Y  0.0000  0.1868  0.8558
Y  0.0000  0.3687  0.0090
Y  0.0000  0.3942  0.6774
Y  0.0000  0.6058  0.1774
Y  0.0000  0.6313  0.5090
Y  0.0000  0.8132  0.3558
Y  0.0000  0.8361  0.6408
Y  0.5000  0.0989  0.7179
Y  0.5000  0.1341  0.3794
Y  0.5000  0.3019  0.5519
Y  0.5000  0.3463  0.2523
Y  0.5000  0.4856  0.8906
Y  0.5000  0.5144  0.3906
Y  0.5000  0.6537  0.7523
Y  0.5000  0.6981  0.0519
Y  0.5000  0.8659  0.8794
Y  0.5000  0.9011  0.2179
Ga  0.0000  0.1033  0.2782
Ga  0.0000  0.3144  0.4515
Ga  0.0000  0.6856  0.9515
Ga  0.0000  0.8967  0.7782
Ga  0.5000  0.4057  0.1141
Ga  0.5000  0.5943  0.6141
Co  0.0000  0.1342  0.6196
Co  0.0000  0.3229  0.3419
Co  0.0000  0.4520  0.7986
Co  0.0000  0.5480  0.2986
Co  0.0000  0.6771  0.8419
Co  0.0000  0.8658  0.1196
Co  0.5000  0.0331  0.5963
Co  0.5000  0.1864  0.0507
Co  0.5000  0.1932  0.9491
Co  0.5000  0.3569  0.7768
Co  0.5000  0.6431  0.2768
Co  0.5000  0.8068  0.4491
Co  0.5000  0.8136  0.5507
Co  0.5000  0.9669  0.0963

The 6 most intense peaks (2θ = 5–70°), by intensity:
Position (°2θ)	I_rel
31.77	100
32.67	91
46.51	57
39.86	57
33.43	49
37.20	49